[1]
Simulated powder diffraction line list of BaGa2Si2O8 for CuKα, from the GGA-PBE geometry in the Materials Project.
No peak broadening, texture or thermal motion is included.

Structure:
abc: 9.5699 9.5699 8.8483
angles: 97.73 97.73 88.89
Sites, in units of the cell vectors:
Ba (0.0639, 0.5652, 0.7856)
Ba (0.4348, 0.9361, 0.7144)
Ba (0.5652, 0.0639, 0.2856)
Ba (0.9361, 0.4348, 0.2144)
Ga (0.0646, 0.1957, 0.8863)
Ga (0.1957, 0.0646, 0.3863)
Ga (0.2996, 0.5487, 0.4646)
Ga (0.4513, 0.7004, 0.0354)
Ga (0.5487, 0.2996, 0.9646)
Ga (0.7004, 0.4513, 0.5354)
Ga (0.8043, 0.9354, 0.6137)
Ga (0.9354, 0.8043, 0.1137)
Si (0.0615, 0.7857, 0.4784)
Si (0.2143, 0.9385, 0.0216)
Si (0.2852, 0.4266, 0.0952)
Si (0.4266, 0.2852, 0.5952)
Si (0.5734, 0.7148, 0.4048)
Si (0.7148, 0.5734, 0.9048)
Si (0.7857, 0.0615, 0.9784)
Si (0.9385, 0.2143, 0.5216)
O (0.0206, 0.2547, 0.6962)
O (0.0464, 0.1852, 0.3909)
O (0.0877, 0.8228, 0.0086)
O (0.1348, 0.3660, 0.9953)
O (0.1431, 0.6431, 0.5313)
O (0.1772, 0.9123, 0.4914)
O (0.1852, 0.0464, 0.8909)
O (0.2378, 0.4738, 0.2657)
O (0.2547, 0.0206, 0.1962)
O (0.3163, 0.4172, 0.6007)
O (0.3195, 0.5593, 0.0051)
O (0.3569, 0.8569, 0.9687)
O (0.3660, 0.1348, 0.4953)
O (0.4172, 0.3163, 0.1007)
O (0.4407, 0.6805, 0.4949)
O (0.4738, 0.2378, 0.7657)
O (0.5262, 0.7622, 0.2343)
O (0.5593, 0.3195, 0.5051)
O (0.5828, 0.6837, 0.8993)
O (0.6340, 0.8652, 0.5047)
O (0.6431, 0.1431, 0.0313)
O (0.6805, 0.4407, 0.9949)
O (0.6837, 0.5828, 0.3993)
O (0.7453, 0.9794, 0.8038)
O (0.7622, 0.5262, 0.7343)
O (0.8148, 0.9536, 0.1091)
O (0.8228, 0.0877, 0.5086)
O (0.8569, 0.3569, 0.4687)
O (0.8652, 0.6340, 0.0047)
O (0.9123, 0.1772, 0.9914)
O (0.9536, 0.8148, 0.6091)
O (0.9794, 0.7453, 0.3038)

Top 10 peaks for 5° ≤ 2θ ≤ 70°, low angle first:
- 22.79 deg, 3.902 Å, intensity 44
- 24.42 deg, 3.646 Å, intensity 33
- 24.94 deg, 3.570 Å, intensity 66
- 25.90 deg, 3.440 Å, intensity 100
- 26.46 deg, 3.369 Å, intensity 43
- 26.58 deg, 3.354 Å, intensity 46
- 28.74 deg, 3.106 Å, intensity 60
- 29.80 deg, 2.998 Å, intensity 40
- 31.38 deg, 2.851 Å, intensity 37
- 33.75 deg, 2.655 Å, intensity 84

[2]
Simulated powder diffraction line list of Ti3P3O13 for CuKα, from the GGA-PBE geometry in the Materials Project.
No peak broadening, texture or thermal motion is included.

Structure:
abc: 7.6814 6.3779 10.4673
angles: 90.00 98.48 90.00
Sites, in units of the cell vectors:
Ti (0.0000, 0.0000, 0.0000)
Ti (0.0000, 0.5000, 0.0000)
Ti (0.2092, 0.2500, 0.5585)
Ti (0.3535, 0.7500, 0.1896)
Ti (0.6465, 0.2500, 0.8104)
Ti (0.7908, 0.7500, 0.4415)
P (0.2206, 0.7500, 0.4805)
P (0.2560, 0.2500, 0.2348)
P (0.3040, 0.2500, 0.8795)
P (0.6960, 0.7500, 0.1205)
P (0.7440, 0.7500, 0.7652)
P (0.7794, 0.2500, 0.5195)
O (0.0216, 0.7500, 0.4135)
O (0.0829, 0.2500, 0.1310)
O (0.1315, 0.7500, 0.0984)
O (0.2035, 0.0529, 0.9121)
O (0.2035, 0.4471, 0.9121)
O (0.2045, 0.2500, 0.3729)
O (0.2506, 0.5516, 0.5645)
O (0.2506, 0.9484, 0.5645)
O (0.3324, 0.2500, 0.7342)
O (0.3419, 0.7500, 0.3776)
O (0.3616, 0.0538, 0.2116)
O (0.3616, 0.4462, 0.2116)
O (0.4988, 0.2500, 0.9460)
O (0.5012, 0.7500, 0.0540)
O (0.6384, 0.5538, 0.7884)
O (0.6384, 0.9462, 0.7884)
O (0.6581, 0.2500, 0.6224)
O (0.6676, 0.7500, 0.2658)
O (0.7494, 0.0516, 0.4355)
O (0.7494, 0.4484, 0.4355)
O (0.7955, 0.7500, 0.6271)
O (0.7965, 0.5529, 0.0879)
O (0.7965, 0.9471, 0.0879)
O (0.8685, 0.2500, 0.9016)
O (0.9171, 0.7500, 0.8690)
O (0.9784, 0.2500, 0.5865)

Top 10 peaks for 5° ≤ 2θ ≤ 70°, low angle first:
- 13.40 deg, 6.607 Å, intensity 41
- 16.32 deg, 5.430 Å, intensity 85
- 18.16 deg, 4.885 Å, intensity 41
- 19.28 deg, 4.605 Å, intensity 100
- 23.42 deg, 3.799 Å, intensity 71
- 26.15 deg, 3.407 Å, intensity 66
- 27.98 deg, 3.189 Å, intensity 63
- 29.43 deg, 3.035 Å, intensity 48
- 29.98 deg, 2.981 Å, intensity 53
- 32.12 deg, 2.787 Å, intensity 60

[3]
Simulated powder diffraction line list of Ce3MnAl24Cu8 for CuKα, from the GGA-PBE geometry in the Materials Project.
No peak broadening, texture or thermal motion is included.

Structure:
abc: 8.4482 8.4482 8.4482
angles: 90.00 90.00 90.00
Sites, in units of the cell vectors:
Ce (0.0000, 0.0000, 0.5000)
Ce (0.0000, 0.5000, 0.0000)
Ce (0.5000, 0.0000, 0.0000)
Mn (0.5000, 0.5000, 0.5000)
Al (0.0000, 0.3363, 0.3363)
Al (0.0000, 0.3363, 0.6637)
Al (0.0000, 0.6637, 0.3363)
Al (0.0000, 0.6637, 0.6637)
Al (0.2711, 0.2711, 0.5000)
Al (0.2711, 0.5000, 0.2711)
Al (0.2711, 0.5000, 0.7289)
Al (0.2711, 0.7289, 0.5000)
Al (0.3363, 0.0000, 0.3363)
Al (0.3363, 0.0000, 0.6637)
Al (0.3363, 0.3363, 0.0000)
Al (0.3363, 0.6637, 0.0000)
Al (0.5000, 0.2711, 0.2711)
Al (0.5000, 0.2711, 0.7289)
Al (0.5000, 0.7289, 0.2711)
Al (0.5000, 0.7289, 0.7289)
Al (0.6637, 0.0000, 0.3363)
Al (0.6637, 0.0000, 0.6637)
Al (0.6637, 0.3363, 0.0000)
Al (0.6637, 0.6637, 0.0000)
Al (0.7289, 0.2711, 0.5000)
Al (0.7289, 0.5000, 0.2711)
Al (0.7289, 0.5000, 0.7289)
Al (0.7289, 0.7289, 0.5000)
Cu (0.1546, 0.1546, 0.1546)
Cu (0.1546, 0.1546, 0.8454)
Cu (0.1546, 0.8454, 0.1546)
Cu (0.1546, 0.8454, 0.8454)
Cu (0.8454, 0.1546, 0.1546)
Cu (0.8454, 0.1546, 0.8454)
Cu (0.8454, 0.8454, 0.1546)
Cu (0.8454, 0.8454, 0.8454)

Top 10 peaks for 5° ≤ 2θ ≤ 70°, low angle first:
- 10.47 deg, 8.448 Å, intensity 48
- 18.19 deg, 4.878 Å, intensity 28
- 29.91 deg, 2.987 Å, intensity 19
- 33.54 deg, 2.672 Å, intensity 40
- 35.23 deg, 2.547 Å, intensity 100
- 36.86 deg, 2.439 Å, intensity 38
- 38.42 deg, 2.343 Å, intensity 23
- 44.20 deg, 2.049 Å, intensity 18
- 45.55 deg, 1.991 Å, intensity 23
- 65.35 deg, 1.428 Å, intensity 20

[4]
Simulated powder diffraction line list of Eu3Th for CuKα, from the GGA-PBE geometry in the Materials Project.
No peak broadening, texture or thermal motion is included.

Structure:
abc: 5.3548 5.3548 10.7892
angles: 90.00 90.00 90.00
Sites, in units of the cell vectors:
Eu (0.0000, 0.0000, 0.0000)
Eu (0.0000, 0.5000, 0.2500)
Eu (0.0000, 0.5000, 0.7500)
Eu (0.5000, 0.0000, 0.2500)
Eu (0.5000, 0.0000, 0.7500)
Eu (0.5000, 0.5000, 0.5000)
Th (0.0000, 0.0000, 0.5000)
Th (0.5000, 0.5000, 0.0000)

Top 10 peaks for 5° ≤ 2θ ≤ 70°, low angle first:
- 18.50 deg, 4.797 Å, intensity 3
- 28.81 deg, 3.099 Å, intensity 100
- 33.21 deg, 2.697 Å, intensity 17
- 33.47 deg, 2.677 Å, intensity 34
- 47.87 deg, 1.900 Å, intensity 25
- 48.06 deg, 1.893 Å, intensity 12
- 56.67 deg, 1.624 Å, intensity 15
- 57.00 deg, 1.616 Å, intensity 30
- 59.67 deg, 1.550 Å, intensity 13
- 69.73 deg, 1.349 Å, intensity 2